The following is a computed PXRD pattern of CdH14C20N4O6F4. It was derived from a DFT-relaxed cell (GGA-PBE, OQMD), using Cu Kα (λ = 1.5418 Å).
Intensities are scaled so that the largest is 100.

Peak list (10 most intense, 2θ = 10–90°, by intensity)
Position (°2θ), I_rel
10.83, 100.0
26.14, 78.6
18.02, 73.1
19.57, 60.2
22.93, 48.1
15.56, 47.3
27.42, 40.2
11.60, 36.3
13.30, 35.6
22.48, 30.7

Cell and atoms:
```
data_CdH14C20N4O6F4
_chemical_formula_sum 'Cd1 H14 C20 N4 O6 F4'
_cell_length_a 7.620
_cell_length_b 7.852
_cell_length_c 9.002
_cell_angle_alpha 77.43
_cell_angle_beta 66.91
_cell_angle_gamma 80.18
_space_group_name_H-M_alt 'P -1'
_space_group_IT_number 2
loop_
_space_group_symop_operation_xyz
'x,y,z'
'-x,-y,-z'
loop_
_atom_site_label
_atom_site_type_symbol
_atom_site_fract_x
_atom_site_fract_y
_atom_site_fract_z
Cd1 Cd 0.000 0.000 0.000
H1 H 0.009 0.153 0.675
H2 H 0.046 0.282 0.777
H3 H 0.118 0.721 0.750
H4 H 0.241 0.956 0.284
H5 H 0.283 0.267 0.551
H6 H 0.402 0.624 0.518
H7 H 0.443 0.009 0.862
C1 C 0.227 0.035 0.375
C2 C 0.245 0.313 0.934
C3 C 0.258 0.764 0.719
C4 C 0.322 0.466 0.118
C5 C 0.378 0.408 0.969
C6 C 0.395 0.116 0.351
C7 C 0.408 0.227 0.449
C8 C 0.417 0.712 0.589
C9 C 0.439 0.926 0.781
C10 C 0.441 0.559 0.147
N1 N 0.069 0.047 0.500
N2 N 0.270 0.870 0.814
O1 O 0.044 0.801 0.219
O2 O 0.189 0.175 0.037
O3 O 0.205 0.377 0.809
F1 F 0.150 0.431 0.236
F2 F 0.379 0.619 0.291
```

=====

The following is a computed PXRD pattern of CdH14C20N4O6F4. It was derived from a DFT-relaxed cell (GGA-PBE, OQMD), using Cu Kα (λ = 1.5418 Å).
Intensities are scaled so that the largest is 100.

Peak list (10 most intense, 2θ = 10–90°, by intensity)
Position (°2θ), I_rel
12.62, 100.0
33.53, 73.1
14.82, 70.1
17.36, 67.9
29.55, 51.1
22.10, 47.3
20.29, 34.2
24.84, 32.3
24.73, 30.6
19.31, 28.5

Cell and atoms:
```
data_CdH14C20N4O6F4
_chemical_formula_sum 'Cd1 H14 C20 N4 O6 F4'
_cell_length_a 6.507
_cell_length_b 7.885
_cell_length_c 10.738
_cell_angle_alpha 104.11
_cell_angle_beta 104.08
_cell_angle_gamma 104.01
_space_group_name_H-M_alt 'P -1'
_space_group_IT_number 2
loop_
_space_group_symop_operation_xyz
'x,y,z'
'-x,-y,-z'
loop_
_atom_site_label
_atom_site_type_symbol
_atom_site_fract_x
_atom_site_fract_y
_atom_site_fract_z
Cd1 Cd 0.000 0.000 0.000
H1 H 0.158 0.651 0.954
H2 H 0.212 0.033 0.312
H3 H 0.324 0.460 0.077
H4 H 0.369 0.096 0.933
H5 H 0.374 0.853 0.450
H6 H 0.438 0.390 0.288
H7 H 0.468 0.162 0.091
C1 C 0.017 0.330 0.501
C2 C 0.075 0.646 0.622
C3 C 0.090 0.474 0.621
C4 C 0.138 0.799 0.753
C5 C 0.209 0.692 0.064
C6 C 0.238 0.905 0.264
C7 C 0.301 0.586 0.132
C8 C 0.330 0.807 0.340
C9 C 0.357 0.641 0.273
C10 C 0.429 0.522 0.345
N1 N 0.174 0.846 0.127
N2 N 0.472 0.568 0.475
O1 O 0.021 0.200 0.199
O2 O 0.337 0.907 0.802
O3 O 0.363 0.182 0.016
F1 F 0.043 0.165 0.503
F2 F 0.178 0.447 0.741
```

=====

The following is a computed PXRD pattern of CdH6C8I4N4. It was derived from a DFT-relaxed cell (GGA-PBE, OQMD), using Cu Kα (λ = 1.5418 Å).
Intensities are scaled so that the largest is 100.

Peak list (10 most intense, 2θ = 10–90°, by intensity)
Position (°2θ), I_rel
25.07, 100.0
10.16, 79.6
17.34, 48.4
26.82, 43.5
33.06, 41.3
31.00, 40.9
35.87, 35.4
13.06, 34.7
26.25, 28.7
20.39, 28.7

Cell and atoms:
```
data_CdH6C8I4N4
_chemical_formula_sum 'Cd2 H12 C16 I8 N8'
_cell_length_a 4.187
_cell_length_b 17.418
_cell_length_c 10.799
_cell_angle_alpha 90.00
_cell_angle_beta 90.57
_cell_angle_gamma 90.00
_space_group_name_H-M_alt 'P 1 21/c 1'
_space_group_IT_number 14
loop_
_space_group_symop_operation_xyz
'x,y,z'
'-x,-y,-z'
'-x,y+1/2,-z+1/2'
'x,-y+1/2,z+1/2'
loop_
_atom_site_label
_atom_site_type_symbol
_atom_site_fract_x
_atom_site_fract_y
_atom_site_fract_z
Cd1 Cd 0.000 0.000 0.000
H1 H 0.170 0.024 0.705
H2 H 0.174 0.686 0.546
H3 H 0.221 0.718 0.220
C1 C 0.075 0.138 0.629
C2 C 0.086 0.082 0.722
C3 C 0.108 0.671 0.641
C4 C 0.129 0.725 0.737
I1 I 0.245 0.110 0.450
I2 I 0.491 0.087 0.137
N1 N 0.005 0.600 0.663
N2 N 0.037 0.708 0.852
```

=====

The following is a computed PXRD pattern of CdH6C10I2N6. It was derived from a DFT-relaxed cell (GGA-PBE, OQMD), using Cu Kα (λ = 1.5418 Å).
Intensities are scaled so that the largest is 100.

Peak list (10 most intense, 2θ = 10–90°, by intensity)
Position (°2θ), I_rel
15.24, 100.0
21.00, 79.2
26.83, 64.0
32.52, 61.6
30.45, 52.9
35.50, 42.8
25.16, 39.5
27.79, 39.5
33.35, 34.0
48.70, 33.4

Cell and atoms:
```
data_CdH6C10I2N6
_chemical_formula_sum 'Cd2 H12 C20 I4 N12'
_cell_length_a 23.610
_cell_length_b 4.017
_cell_length_c 7.563
_cell_angle_alpha 90.00
_cell_angle_beta 100.23
_cell_angle_gamma 90.00
_space_group_name_H-M_alt 'C 1 2/m 1'
_space_group_IT_number 12
loop_
_space_group_symop_operation_xyz
'x,y,z'
'-x,-y,-z'
'-x,y,-z'
'x,-y,z'
'x+1/2,y+1/2,z'
'-x+1/2,-y+1/2,-z'
'-x+1/2,y+1/2,-z'
'x+1/2,-y+1/2,z'
loop_
_atom_site_label
_atom_site_type_symbol
_atom_site_fract_x
_atom_site_fract_y
_atom_site_fract_z
Cd1 Cd 0.000 0.000 0.000
H1 H 0.052 0.000 0.427
H2 H 0.143 0.000 0.005
H3 H 0.145 0.000 0.651
C1 C 0.093 0.000 0.383
C2 C 0.144 0.000 0.150
C3 C 0.145 0.000 0.506
C4 C 0.195 0.000 0.275
C5 C 0.249 0.000 0.212
I1 I 0.044 0.500 0.777
N1 N 0.093 0.000 0.206
N2 N 0.196 0.000 0.454
N3 N 0.209 0.500 0.847
```